Record 1
The following is a simulated powder diffraction line list of BaTl3Pb. It was derived from DFT lattice parameters and positions (PBE), using Cu Kα X-rays.
No peak broadening, texture or thermal motion is included.

Cell and atoms:
Unit cell a=7.0630 b=7.0636 c=8.0026 alpha=90.00 beta=115.88 gamma=90.00
Space group Cm (No. 8)
Symmetry-distinct sites (fractional):
Ba (0.0000, 0.0000, 0.0000)
Tl (0.3856, 0.0000, 0.7663)
Tl (0.4937, 0.2520, 0.4870)
Pb (0.0994, 0.5000, 0.2017)

Most intense lines, 2θ = 10–90°, low angle first:
| d/Å | 2θ/deg | I/Imax |
| --- | --- | --- |
| 7.200 | 12.29 | 18.7 |
| 4.719 | 18.81 | 27.6 |
| 3.461 | 25.74 | 41.6 |
| 3.173 | 28.12 | 93.7 |
| 3.164 | 28.21 | 29.7 |
| 2.523 | 35.58 | 55.1 |
| 2.498 | 35.96 | 100.0 |
| 2.491 | 36.06 | 22.6 |
| 1.765 | 51.79 | 36.0 |
| 1.543 | 59.94 | 23.1 |



Record 2
The following is a simulated powder diffraction line list of Ba4Tl7Pb6. It was derived from DFT lattice parameters and positions (PBE), using Cu Kα X-rays.
No peak broadening, texture or thermal motion is included.

Cell and atoms:
Unit cell a=10.5337 b=10.5337 c=10.5337 alpha=90.00 beta=90.00 gamma=90.00
Space group Im-3m (No. 229)
Symmetry-distinct sites (fractional):
Ba (0.2500, 0.2500, 0.2500)
Tl (0.0000, 0.0000, 0.0000)
Tl (0.0000, 0.2500, 0.5000)
Pb (0.0000, 0.0000, 0.3071)

Most intense lines, 2θ = 10–90°, low angle first:
| d/Å | 2θ/deg | I/Imax |
| --- | --- | --- |
| 5.267 | 16.83 | 15.2 |
| 3.041 | 29.37 | 100.0 |
| 2.815 | 31.79 | 20.9 |
| 2.633 | 34.04 | 66.7 |
| 2.483 | 36.18 | 18.0 |
| 2.246 | 40.15 | 22.4 |
| 1.862 | 48.91 | 37.1 |
| 1.588 | 58.09 | 27.5 |
| 1.553 | 59.52 | 15.3 |
| 1.433 | 65.07 | 16.0 |



Record 3
The following is a simulated powder diffraction line list of Ba3Tl2Pb4. It was derived from DFT lattice parameters and positions (PBE), using Cu Kα X-rays.
No peak broadening, texture or thermal motion is included.

Cell and atoms:
Unit cell a=12.9643 b=5.2758 c=10.3278 alpha=90.00 beta=105.45 gamma=90.00
Space group C2/m (No. 12)
Symmetry-distinct sites (fractional):
Ba (0.0000, 0.0000, 0.0000)
Ba (0.1333, 0.5000, 0.6887)
Tl (0.1968, 0.5000, 0.3626)
Pb (0.0645, 0.0000, 0.3845)
Pb (0.2010, 0.5000, 0.0499)

Most intense lines, 2θ = 10–90°, low angle first:
| d/Å | 2θ/deg | I/Imax |
| --- | --- | --- |
| 3.318 | 26.87 | 100.0 |
| 3.269 | 27.28 | 90.1 |
| 2.930 | 30.51 | 18.4 |
| 2.652 | 33.79 | 15.2 |
| 2.638 | 33.99 | 50.4 |
| 2.618 | 34.25 | 87.9 |
| 2.503 | 35.88 | 19.6 |
| 2.259 | 39.91 | 15.6 |
| 2.065 | 43.84 | 32.0 |
| 1.519 | 60.98 | 24.2 |